Entry 1:
Structure and theoretical PXRD pattern of Tm3Si2Ir5 (DFT lattice parameters and positions (GGA-PBE); Cu Kα X-rays).
Neutral-atom scattering factors, no anomalous dispersion.

Atomic structure:
a = 9.818 Å, b = 9.818 Å, c = 3.575 Å
α = 90.00°, β = 90.00°, γ = 90.00°
Atoms (fractional coordinates):
Tm 0.000 0.000 0.000
Tm 0.174 0.326 0.000
Tm 0.326 0.826 0.000
Tm 0.500 0.500 0.000
Tm 0.674 0.174 0.000
Tm 0.826 0.674 0.000
Si 0.124 0.624 0.000
Si 0.376 0.124 0.000
Si 0.624 0.876 0.000
Si 0.876 0.376 0.000
Ir 0.000 0.500 0.500
Ir 0.069 0.781 0.500
Ir 0.219 0.069 0.500
Ir 0.281 0.569 0.500
Ir 0.431 0.281 0.500
Ir 0.500 0.000 0.500
Ir 0.569 0.719 0.500
Ir 0.719 0.431 0.500
Ir 0.781 0.931 0.500
Ir 0.931 0.219 0.500

Main lines, in order of rising 2θ (10° ≤ 2θ ≤ 80°):
d_spacing	Rel. int.
2.772	58
2.490	35
2.381	61
2.344	100
2.195	36
2.166	34
1.788	25
1.430	25

=====

Entry 2:
Structure and theoretical PXRD pattern of Tm3Si3Ir (DFT lattice parameters and positions (GGA-PBE); Cu Kα X-rays).
Neutral-atom scattering factors, no anomalous dispersion.

Atomic structure:
a = 5.625 Å, b = 5.625 Å, c = 13.351 Å
α = 109.28°, β = 109.28°, γ = 43.71°
Atoms (fractional coordinates):
Tm 0.019 0.019 0.374
Tm 0.102 0.102 0.921
Tm 0.243 0.243 0.227
Tm 0.757 0.757 0.773
Tm 0.898 0.898 0.079
Tm 0.981 0.981 0.626
Si 0.371 0.371 0.456
Si 0.385 0.385 0.926
Si 0.455 0.455 0.763
Si 0.545 0.545 0.237
Si 0.615 0.615 0.074
Si 0.629 0.629 0.544
Ir 0.253 0.253 0.586
Ir 0.747 0.747 0.414

Main lines, in order of rising 2θ (10° ≤ 2θ ≤ 80°):
d_spacing	Rel. int.
3.848	30
3.046	23
2.648	100
2.609	30
2.526	22
2.330	25
2.171	37
2.094	32

=====

Entry 3:
Structure and theoretical PXRD pattern of Tm3Si5Ir6 (DFT lattice parameters and positions (GGA-PBE); Cu Kα X-rays).
Neutral-atom scattering factors, no anomalous dispersion.

Atomic structure:
a = 4.006 Å, b = 12.337 Å, c = 9.517 Å
α = 90.00°, β = 90.00°, γ = 90.00°
Atoms (fractional coordinates):
Tm 0.250 0.088 0.249
Tm 0.250 0.412 0.249
Tm 0.250 0.750 0.243
Tm 0.750 0.250 0.757
Tm 0.750 0.588 0.751
Tm 0.750 0.912 0.751
Si 0.250 0.078 0.650
Si 0.250 0.422 0.650
Si 0.250 0.633 0.979
Si 0.250 0.750 0.622
Si 0.250 0.867 0.979
Si 0.750 0.133 0.021
Si 0.750 0.250 0.378
Si 0.750 0.367 0.021
Si 0.750 0.578 0.350
Si 0.750 0.922 0.350
Ir 0.250 0.048 0.898
Ir 0.250 0.250 0.012
Ir 0.250 0.250 0.519
Ir 0.250 0.452 0.898
Ir 0.250 0.582 0.492
Ir 0.250 0.918 0.492
Ir 0.750 0.082 0.508
Ir 0.750 0.418 0.508
Ir 0.750 0.548 0.102
Ir 0.750 0.750 0.481
Ir 0.750 0.750 0.988
Ir 0.750 0.952 0.102

Main lines, in order of rising 2θ (10° ≤ 2θ ≤ 80°):
d_spacing	Rel. int.
2.746	41
2.512	26
2.487	27
2.457	100
2.056	22
2.003	30
1.435	14
1.388	23

=====

Entry 4:
Structure and theoretical PXRD pattern of Tm2Si4Ir3 (DFT lattice parameters and positions (GGA-PBE); Cu Kα X-rays).
Neutral-atom scattering factors, no anomalous dispersion.

Atomic structure:
a = 7.573 Å, b = 6.498 Å, c = 5.487 Å
α = 77.87°, β = 57.03°, γ = 45.10°
Atoms (fractional coordinates):
Tm 0.134 0.134 0.866
Tm 0.866 0.866 0.134
Si 0.165 0.513 0.487
Si 0.487 0.835 0.165
Si 0.513 0.165 0.835
Si 0.835 0.487 0.513
Ir 0.000 0.000 0.500
Ir 0.500 0.500 0.000
Ir 0.500 0.500 0.500

Main lines, in order of rising 2θ (10° ≤ 2θ ≤ 80°):
d_spacing	Rel. int.
5.893	100
3.026	60
2.505	25
2.374	100
2.249	52
2.202	69
1.514	27
1.252	29

=====

Entry 5:
Structure and theoretical PXRD pattern of TmSi2Ir4 (DFT lattice parameters and positions (GGA-PBE); Cu Kα X-rays).
Neutral-atom scattering factors, no anomalous dispersion.

Atomic structure:
a = 7.599 Å, b = 7.599 Å, c = 3.829 Å
α = 90.00°, β = 90.00°, γ = 90.00°
Atoms (fractional coordinates):
Tm 0.000 0.000 0.000
Tm 0.500 0.500 0.500
Si 0.229 0.229 0.500
Si 0.271 0.729 0.000
Si 0.729 0.271 0.000
Si 0.771 0.771 0.500
Ir 0.072 0.670 0.500
Ir 0.170 0.428 0.000
Ir 0.330 0.928 0.500
Ir 0.428 0.170 0.000
Ir 0.572 0.830 0.000
Ir 0.670 0.072 0.500
Ir 0.830 0.572 0.000
Ir 0.928 0.330 0.500

Main lines, in order of rising 2θ (10° ≤ 2θ ≤ 80°):
d_spacing	Rel. int.
3.118	21
2.542	100
2.403	42
2.199	39
2.035	32
1.914	24
1.843	22
1.412	30

=====

Entry 6:
Structure and theoretical PXRD pattern of USi3Ir5 (DFT lattice parameters and positions (GGA-PBE); Cu Kα X-rays).
Neutral-atom scattering factors, no anomalous dispersion.

Atomic structure:
a = 6.650 Å, b = 6.650 Å, c = 14.812 Å
α = 90.00°, β = 90.00°, γ = 154.81°
Atoms (fractional coordinates):
U 0.188 0.812 0.750
U 0.812 0.188 0.250
Si 0.093 0.907 0.250
Si 0.345 0.655 0.034
Si 0.345 0.655 0.466
Si 0.655 0.345 0.534
Si 0.655 0.345 0.966
Si 0.907 0.093 0.750
Ir 0.000 0.000 0.000
Ir 0.000 0.000 0.500
Ir 0.180 0.820 0.103
Ir 0.180 0.820 0.397
Ir 0.483 0.517 0.157
Ir 0.483 0.517 0.343
Ir 0.517 0.483 0.657
Ir 0.517 0.483 0.843
Ir 0.820 0.180 0.603
Ir 0.820 0.180 0.897

Main lines, in order of rising 2θ (10° ≤ 2θ ≤ 80°):
d_spacing	Rel. int.
3.929	69
2.712	78
2.456	99
2.409	75
2.307	100
2.291	66
2.163	64
2.019	61

=====

Copy entry 4 word for word.
Structure and theoretical PXRD pattern of Tm2Si4Ir3 (DFT lattice parameters and positions (GGA-PBE); Cu Kα X-rays).
Neutral-atom scattering factors, no anomalous dispersion.

Atomic structure:
a = 7.573 Å, b = 6.498 Å, c = 5.487 Å
α = 77.87°, β = 57.03°, γ = 45.10°
Atoms (fractional coordinates):
Tm 0.134 0.134 0.866
Tm 0.866 0.866 0.134
Si 0.165 0.513 0.487
Si 0.487 0.835 0.165
Si 0.513 0.165 0.835
Si 0.835 0.487 0.513
Ir 0.000 0.000 0.500
Ir 0.500 0.500 0.000
Ir 0.500 0.500 0.500

Main lines, in order of rising 2θ (10° ≤ 2θ ≤ 80°):
d_spacing	Rel. int.
5.893	100
3.026	60
2.505	25
2.374	100
2.249	52
2.202	69
1.514	27
1.252	29